[1]
Diffraction record for LiMn3O5F. The powder XRD pattern is simulated, not measured: it uses the GGA+U geometry in the Materials Project and λ = 1.5418 Å (Cu Kα).
Lines closer than 0.1° are merged.

Structure:
Unit cell a=4.9533 b=5.0924 c=5.3834 alpha=116.99 beta=90.11 gamma=117.19
Space group P1 (No. 1)
Symmetry-distinct sites (fractional):
Li (0.0000, 0.0000, 0.0000) x1
Mn (0.2410, 0.4254, 0.6206) x1
Mn (0.5664, 0.0695, 0.5632) x1
Mn (0.7741, 0.4850, 0.1682) x1
O (0.1752, 0.9771, 0.3746) x1
O (0.4863, 0.5984, 0.3871) x1
O (0.6101, 0.5208, 0.8485) x1
O (0.8668, 0.2827, 0.3616) x1
O (0.9491, 0.2650, 0.8442) x1
F (0.3260, 0.9064, 0.8559) x1

Top 12 peaks for 2θ from 5° to 70°, in order of rising 2θ:
d = 4.627 Å, 2θ = 19.2°, I = 98.2, hkl 0 0 1
d = 3.893 Å, 2θ = 22.8°, I = 95.6, hkl 0 1 0
d = 3.646 Å, 2θ = 24.4°, I = 89.2, hkl 1 0 -1
d = 3.626 Å, 2θ = 24.5°, I = 96.0, hkl 1 -1 1
d = 2.785 Å, 2θ = 32.1°, I = 94.5, hkl 1 0 1
d = 2.713 Å, 2θ = 33.0°, I = 77.6, hkl -1 1 1
d = 2.679 Å, 2θ = 33.4°, I = 83.5, hkl 0 1 -2
d = 2.612 Å, 2θ = 34.3°, I = 100.0, hkl 1 1 -1
d = 2.539 Å, 2θ = 35.4°, I = 57.0, hkl 1 -2 1
d = 2.264 Å, 2θ = 39.8°, I = 57.0, hkl 1 -2 0
d = 1.705 Å, 2θ = 53.8°, I = 60.5, hkl 2 -1 2
d = 1.676 Å, 2θ = 54.8°, I = 80.2, hkl 1 -2 3


[2]
Diffraction record for Li4Ni3O3F4. The powder XRD pattern is simulated, not measured: it uses the GGA+U geometry in the Materials Project and λ = 1.5418 Å (Cu Kα).
Lines closer than 0.1° are merged.

Structure:
Unit cell a=2.9424 b=2.9424 c=29.0601 alpha=90.00 beta=90.00 gamma=90.00
Space group I4/mmm (No. 139)
Symmetry-distinct sites (fractional):
Li (0.0000, 0.0000, 0.1449) x4
Li (0.0000, 0.0000, 0.2842) x4
Ni (0.0000, 0.0000, 0.0000) x2
Ni (0.0000, 0.0000, 0.4278) x4
O (0.0000, 0.0000, 0.0732) x4
O (0.0000, 0.0000, 0.5000) x2
F (0.0000, 0.0000, 0.2154) x4
F (0.0000, 0.0000, 0.3533) x4

Top 12 peaks for 2θ from 5° to 70°, in order of rising 2θ:
d = 14.530 Å, 2θ = 6.1°, I = 100.0, hkl 0 0 2
d = 7.265 Å, 2θ = 12.2°, I = 1.5, hkl 0 0 4
d = 2.927 Å, 2θ = 30.5°, I = 1.7, hkl 1 0 1
d = 2.625 Å, 2θ = 34.2°, I = 9.9, hkl 1 0 5
d = 2.422 Å, 2θ = 37.1°, I = 2.3, hkl 0 0 12
d = 2.401 Å, 2θ = 37.5°, I = 3.2, hkl 1 0 7
d = 2.175 Å, 2θ = 41.5°, I = 6.4, hkl 1 0 9
d = 2.081 Å, 2θ = 43.5°, I = 14.6, hkl 1 1 0
d = 2.076 Å, 2θ = 43.6°, I = 7.1, hkl 0 0 14
d = 2.060 Å, 2θ = 44.0°, I = 3.8, hkl 1 1 2
d = 1.578 Å, 2θ = 58.5°, I = 2.2, hkl 1 1 12
d = 1.470 Å, 2θ = 63.3°, I = 12.0, hkl 2 0 0


Which formula does entry 1 have?
LiMn3O5F